No. 1
This entry pairs a crystal structure of Sc6TlPb with its theoretical PXRD pattern. Radiation: Cu Kα (weighted mean of Kα1 and Kα2). Structure: a DFT-relaxed cell (PBE, Alexandria).
Kinematic intensities with the Lorentz-polarization factor, no thermal factor.

Cell lengths 5.722, 5.722, 5.722 Å; angles 90.00, 90.00, 90.00 degrees
Fractional positions:
Sc 0.000 0.251 0.500
Sc 0.000 0.749 0.500
Sc 0.251 0.500 0.000
Sc 0.500 0.000 0.251
Sc 0.500 0.000 0.749
Sc 0.749 0.500 0.000
Tl 0.500 0.500 0.500
Pb 0.000 0.000 0.000

Principal peaks in the range 10° ≤ 2θ ≤ 90°, low angle first:
2θ (°)	I/Imax
21.97	82
31.26	44
35.07	17
38.54	100
44.80	14
50.44	20
60.55	53
74.10	15
78.39	13
86.79	14

---

No. 2
This entry pairs a crystal structure of Na2ZnAsS4 with its theoretical PXRD pattern. Radiation: Cu Kα (weighted mean of Kα1 and Kα2). Structure: a DFT-relaxed cell (PBE, Alexandria).
Kinematic intensities with the Lorentz-polarization factor, no thermal factor.

Cell lengths 8.088, 7.874, 6.251 Å; angles 90.00, 90.00, 90.00 degrees
Fractional positions:
Na 0.242 0.163 0.000
Na 0.258 0.837 0.500
Na 0.742 0.837 0.500
Na 0.758 0.163 0.000
Zn 0.000 0.362 0.519
Zn 0.500 0.638 0.019
As 0.000 0.668 0.022
As 0.500 0.332 0.522
S 0.000 0.401 0.897
S 0.000 0.637 0.380
S 0.234 0.192 0.451
S 0.266 0.808 0.951
S 0.500 0.363 0.880
S 0.500 0.599 0.397
S 0.734 0.808 0.951
S 0.766 0.192 0.451

Principal peaks in the range 10° ≤ 2θ ≤ 90°, low angle first:
2θ (°)	I/Imax
11.24	61
18.12	68
22.58	25
24.75	92
26.76	28
28.58	100
38.14	33
40.99	54
44.82	27
50.68	66

---

No. 3
This entry pairs a crystal structure of Pr3Nd4Tm4 with its theoretical PXRD pattern. Radiation: Cu Kα (weighted mean of Kα1 and Kα2). Structure: a DFT-relaxed cell (PBE, Alexandria).
Kinematic intensities with the Lorentz-polarization factor, no thermal factor.

Cell lengths 10.809, 6.706, 6.706 Å; angles 50.87, 90.00, 90.00 degrees
Fractional positions:
Pr 0.000 0.000 0.000
Pr 0.289 0.160 0.160
Pr 0.711 0.160 0.160
Nd 0.000 0.707 0.707
Nd 0.214 0.498 0.498
Nd 0.500 0.631 0.631
Nd 0.786 0.498 0.498
Tm 0.000 0.304 0.304
Tm 0.305 0.853 0.853
Tm 0.500 0.358 0.358
Tm 0.695 0.853 0.853

Principal peaks in the range 10° ≤ 2θ ≤ 90°, low angle first:
2θ (°)	I/Imax
30.17	30
30.66	15
31.05	38
31.73	100
33.15	15
44.20	11
46.06	12
55.65	28
61.60	13
61.78	13

---

No. 4
This entry pairs a crystal structure of Ta2TiBe9 with its theoretical PXRD pattern. Radiation: Cu Kα (weighted mean of Kα1 and Kα2). Structure: a DFT-relaxed cell (PBE, Alexandria).
Kinematic intensities with the Lorentz-polarization factor, no thermal factor.

Cell lengths 4.555, 4.555, 14.034 Å; angles 90.00, 90.00, 120.00 degrees
Fractional positions:
Ta 0.333 0.667 0.038
Ta 0.333 0.667 0.462
Ta 0.667 0.333 0.538
Ta 0.667 0.333 0.962
Ti 0.333 0.667 0.250
Ti 0.667 0.333 0.750
Be 0.000 0.000 0.000
Be 0.000 0.000 0.250
Be 0.000 0.000 0.500
Be 0.000 0.000 0.750
Be 0.169 0.338 0.627
Be 0.169 0.338 0.873
Be 0.169 0.831 0.627
Be 0.169 0.831 0.873
Be 0.333 0.667 0.750
Be 0.338 0.169 0.127
Be 0.338 0.169 0.373
Be 0.662 0.831 0.627
Be 0.662 0.831 0.873
Be 0.667 0.333 0.250
Be 0.831 0.169 0.127
Be 0.831 0.169 0.373
Be 0.831 0.662 0.127
Be 0.831 0.662 0.373

Principal peaks in the range 10° ≤ 2θ ≤ 90°, low angle first:
2θ (°)	I/Imax
12.61	100
22.54	43
23.43	23
25.91	30
29.62	32
39.40	65
39.57	49
41.70	36
47.60	27
71.68	22

---

No. 5
This entry pairs a crystal structure of Li2UCuTe4 with its theoretical PXRD pattern. Radiation: Cu Kα (weighted mean of Kα1 and Kα2). Structure: a DFT-relaxed cell (PBE, Alexandria).
Kinematic intensities with the Lorentz-polarization factor, no thermal factor.

Cell lengths 7.366, 4.133, 7.392 Å; angles 90.00, 109.83, 90.00 degrees
Fractional positions:
Li 0.000 0.000 0.000
Li 0.500 0.500 0.000
U 0.000 0.500 0.500
Cu 0.500 0.000 0.500
Te 0.244 0.000 0.774
Te 0.286 0.500 0.287
Te 0.714 0.500 0.713
Te 0.756 0.000 0.226

Principal peaks in the range 10° ≤ 2θ ≤ 90°, low angle first:
2θ (°)	I/Imax
12.74	64
24.51	22
25.07	29
29.59	54
30.19	100
32.78	16
42.70	52
42.84	38
43.80	19
53.75	20

---

No. 6
This entry pairs a crystal structure of CuPd2O4 with its theoretical PXRD pattern. Radiation: Cu Kα (weighted mean of Kα1 and Kα2). Structure: a DFT-relaxed cell (PBE, Alexandria).
Kinematic intensities with the Lorentz-polarization factor, no thermal factor.

Cell lengths 6.286, 6.286, 6.286 Å; angles 127.02, 118.85, 85.15 degrees
Fractional positions:
Cu 0.500 0.000 0.000
Cu 0.500 0.500 0.500
Pd 0.000 0.000 0.000
Pd 0.077 0.327 0.750
Pd 0.500 0.000 0.500
Pd 0.923 0.673 0.250
O 0.239 0.224 0.485
O 0.239 0.753 0.015
O 0.270 0.222 0.048
O 0.327 0.778 0.548
O 0.673 0.222 0.452
O 0.730 0.778 0.952
O 0.761 0.247 0.985
O 0.761 0.776 0.515

Principal peaks in the range 10° ≤ 2θ ≤ 90°, low angle first:
2θ (°)	I/Imax
18.50	41
28.64	51
33.13	83
33.69	100
34.08	61
36.31	74
55.02	31
57.66	36
59.29	49
60.05	27

---

No. 7
This entry pairs a crystal structure of CeErIn with its theoretical PXRD pattern. Radiation: Cu Kα (weighted mean of Kα1 and Kα2). Structure: a DFT-relaxed cell (PBE, Alexandria).
Kinematic intensities with the Lorentz-polarization factor, no thermal factor.

Cell lengths 5.370, 5.370, 3.185 Å; angles 90.00, 90.00, 120.00 degrees
Fractional positions:
Ce 0.000 0.000 0.000
Er 0.667 0.333 0.995
In 0.333 0.667 0.499

Principal peaks in the range 10° ≤ 2θ ≤ 90°, low angle first:
2θ (°)	I/Imax
33.37	100
34.12	77
44.11	18
48.47	29
59.64	19
60.12	30
68.50	25
70.09	11
80.30	13
87.90	13

---

No. 8
This entry pairs a crystal structure of V2Ni5Pt12 with its theoretical PXRD pattern. Radiation: Cu Kα (weighted mean of Kα1 and Kα2). Structure: a DFT-relaxed cell (PBE, Alexandria).
Kinematic intensities with the Lorentz-polarization factor, no thermal factor.

Cell lengths 7.584, 7.584, 8.035 Å; angles 100.62, 100.62, 41.67 degrees
Fractional positions:
V 0.219 0.781 0.000
V 0.781 0.219 0.000
Ni 0.130 0.130 0.879
Ni 0.209 0.209 0.396
Ni 0.500 0.500 0.500
Ni 0.791 0.791 0.604
Ni 0.870 0.870 0.121
Pt 0.027 0.027 0.319
Pt 0.048 0.546 0.873
Pt 0.107 0.611 0.390
Pt 0.389 0.893 0.610
Pt 0.430 0.430 0.750
Pt 0.454 0.952 0.127
Pt 0.546 0.048 0.873
Pt 0.570 0.570 0.250
Pt 0.611 0.107 0.390
Pt 0.893 0.389 0.610
Pt 0.952 0.454 0.127
Pt 0.973 0.973 0.681

Principal peaks in the range 10° ≤ 2θ ≤ 90°, low angle first:
2θ (°)	I/Imax
18.62	27
28.16	52
30.78	36
35.71	58
38.29	33
38.99	32
41.19	100
42.81	39
45.42	79
57.99	25

---

No. 9
This entry pairs a crystal structure of NaNd8Se12 with its theoretical PXRD pattern. Radiation: Cu Kα (weighted mean of Kα1 and Kα2). Structure: a DFT-relaxed cell (PBE, Alexandria).
Kinematic intensities with the Lorentz-polarization factor, no thermal factor.

Cell lengths 14.889, 14.889, 14.889 Å; angles 145.04, 145.04, 50.27 degrees
Fractional positions:
Na 0.000 0.000 0.000
Na 0.750 0.250 0.500
Nd 0.036 0.663 0.119
Nd 0.082 0.964 0.627
Nd 0.083 0.583 0.500
Nd 0.206 0.587 0.873
Nd 0.333 0.333 0.000
Nd 0.337 0.456 0.373
Nd 0.375 0.007 0.132
Nd 0.413 0.286 0.619
Nd 0.417 0.917 0.500
Nd 0.544 0.918 0.881
Nd 0.667 0.667 0.000
Nd 0.668 0.794 0.381
Nd 0.714 0.332 0.127
Nd 0.757 0.625 0.632
Nd 0.875 0.243 0.868
Nd 0.993 0.125 0.368
Se 0.008 0.610 0.251
Se 0.030 0.923 0.747
Se 0.033 0.426 0.753
Se 0.059 0.312 0.903
Se 0.062 0.309 0.403
Se 0.077 0.824 0.107
Se 0.176 0.283 0.253
Se 0.243 0.992 0.602
Se 0.341 0.938 0.247
Se 0.358 0.757 0.749
Se 0.360 0.258 0.751
Se 0.390 0.642 0.398
Se 0.392 0.640 0.898
Se 0.409 0.156 0.097
Se 0.507 0.608 0.249
Se 0.574 0.327 0.607
Se 0.673 0.280 0.247
Se 0.688 0.591 0.747
Se 0.691 0.094 0.753
Se 0.717 0.970 0.893
Se 0.720 0.967 0.393
Se 0.742 0.493 0.102
Se 0.844 0.941 0.253
Se 0.906 0.659 0.597

Principal peaks in the range 10° ≤ 2θ ≤ 90°, low angle first:
2θ (°)	I/Imax
24.34	32
31.50	47
31.63	100
37.54	64
37.62	33
45.32	23
47.61	22
52.10	16
64.16	29
78.57	16

---

No. 10
This entry pairs a crystal structure of PuSc3Te4 with its theoretical PXRD pattern. Radiation: Cu Kα (weighted mean of Kα1 and Kα2). Structure: a DFT-relaxed cell (PBE, Alexandria).
Kinematic intensities with the Lorentz-polarization factor, no thermal factor.

Cell lengths 8.525, 11.954, 4.202 Å; angles 90.00, 90.00, 90.00 degrees
Fractional positions:
Pu 0.000 0.000 0.000
Pu 0.500 0.500 0.000
Sc 0.000 0.500 0.000
Sc 0.250 0.250 0.500
Sc 0.250 0.750 0.500
Sc 0.500 0.000 0.000
Sc 0.750 0.250 0.500
Sc 0.750 0.750 0.500
Te 0.000 0.257 0.000
Te 0.000 0.743 0.000
Te 0.237 0.500 0.500
Te 0.263 0.000 0.500
Te 0.500 0.243 0.000
Te 0.500 0.757 0.000
Te 0.737 0.000 0.500
Te 0.763 0.500 0.500

Principal peaks in the range 10° ≤ 2θ ≤ 90°, low angle first:
2θ (°)	I/Imax
12.75	15
24.77	11
29.87	100
42.41	12
42.76	49
43.05	12
52.75	13
53.30	13
62.06	12
70.40	21

---

No. 11
This entry pairs a crystal structure of TbGa4NiPd2 with its theoretical PXRD pattern. Radiation: Cu Kα (weighted mean of Kα1 and Kα2). Structure: a DFT-relaxed cell (PBE, Alexandria).
Kinematic intensities with the Lorentz-polarization factor, no thermal factor.

Cell lengths 8.943, 8.943, 8.943 Å; angles 27.49, 27.49, 27.49 degrees
Fractional positions:
Tb 0.000 0.000 0.000
Ga 0.135 0.135 0.135
Ga 0.400 0.400 0.400
Ga 0.600 0.600 0.600
Ga 0.865 0.865 0.865
Ni 0.500 0.500 0.500
Pd 0.239 0.239 0.239
Pd 0.761 0.761 0.761

Principal peaks in the range 10° ≤ 2θ ≤ 90°, low angle first:
2θ (°)	I/Imax
27.91	17
29.82	29
34.44	11
37.06	93
42.54	100
45.88	15
57.67	25
61.34	12
74.24	23
77.86	16

---

No. 12
This entry pairs a crystal structure of Pr3Ho8Er2 with its theoretical PXRD pattern. Radiation: Cu Kα (weighted mean of Kα1 and Kα2). Structure: a DFT-relaxed cell (PBE, Alexandria).
Kinematic intensities with the Lorentz-polarization factor, no thermal factor.

Cell lengths 6.277, 8.103, 17.647 Å; angles 78.35, 84.96, 74.31 degrees
Fractional positions:
Pr 0.000 0.000 0.000
Pr 0.000 0.000 0.500
Pr 0.410 0.626 0.235
Pr 0.490 0.823 0.692
Pr 0.510 0.177 0.308
Pr 0.590 0.374 0.765
Ho 0.032 0.614 0.740
Ho 0.109 0.939 0.331
Ho 0.133 0.540 0.076
Ho 0.171 0.150 0.800
Ho 0.301 0.689 0.887
Ho 0.340 0.615 0.565
Ho 0.371 0.194 0.578
Ho 0.428 0.232 0.960
Ho 0.572 0.768 0.040
Ho 0.629 0.806 0.422
Ho 0.660 0.385 0.435
Ho 0.699 0.311 0.113
Ho 0.829 0.850 0.200
Ho 0.867 0.460 0.924
Ho 0.891 0.061 0.669
Ho 0.968 0.386 0.260
Er 0.127 0.505 0.415
Er 0.264 0.085 0.150
Er 0.736 0.915 0.850
Er 0.873 0.495 0.585

Principal peaks in the range 10° ≤ 2θ ≤ 90°, low angle first:
2θ (°)	I/Imax
29.54	25
30.48	18
30.69	44
31.09	64
31.25	100
31.76	15
34.01	39
34.74	53
39.17	17
51.05	14